Computed PXRD pattern
Compound: SrPaPt2O8
Radiation: CuKα
Structure: a cell relaxed with GGA-PBE
Lines closer than 0.1° are merged.

Principal peaks in the range 5 to 70 degrees two-theta, low angle first:
d = 4.225 Å, 21.03°, I = 100.0; d = 3.042 Å, 29.36°, I = 68.8; d = 2.936 Å, 30.45°, I = 55.1; d = 2.468 Å, 36.40°, I = 14.2; d = 2.112 Å, 42.81°, I = 30.0; d = 1.917 Å, 47.43°, I = 24.6; d = 1.756 Å, 52.08°, I = 17.3; d = 1.735 Å, 52.76°, I = 26.9; d = 1.521 Å, 60.91°, I = 17.5; d = 1.350 Å, 69.62°, I = 11.5

Crystal structure
a b c (Å): 6.083 6.083 7.071
angles (deg): 90.00 90.00 120.00
Sites, in units of the cell vectors:
Sr: 0.000 0.000 0.000
Pa: 0.000 0.000 0.500
Pt: 0.333 0.667 0.788
Pt: 0.667 0.333 0.212
O: 0.154 0.307 0.701
O: 0.154 0.846 0.701
O: 0.307 0.154 0.299
O: 0.333 0.667 0.047
O: 0.667 0.333 0.953
O: 0.693 0.846 0.701
O: 0.846 0.154 0.299
O: 0.846 0.693 0.299

---

Computed PXRD pattern
Compound: SrPaPt2O6
Radiation: CuKα
Structure: a cell relaxed with GGA-PBE
Lines closer than 0.1° are merged.

Principal peaks in the range 5 to 70 degrees two-theta, low angle first:
d = 5.742 Å, 15.43°, I = 12.9; d = 3.266 Å, 27.31°, I = 100.0; d = 2.893 Å, 30.91°, I = 64.8; d = 2.583 Å, 34.73°, I = 10.4; d = 2.165 Å, 41.71°, I = 32.6; d = 1.978 Å, 45.87°, I = 22.4; d = 1.733 Å, 52.81°, I = 33.5; d = 1.670 Å, 54.98°, I = 18.7; d = 1.633 Å, 56.34°, I = 12.8; d = 1.422 Å, 65.66°, I = 16.1

Crystal structure
a b c (Å): 6.643 6.643 6.643
angles (deg): 51.63 51.63 51.63
Sites, in units of the cell vectors:
Sr: 0.000 0.000 0.000
Pa: 0.500 0.500 0.500
Pt: 0.241 0.241 0.241
Pt: 0.759 0.759 0.759
O: 0.113 0.729 0.435
O: 0.271 0.565 0.887
O: 0.435 0.113 0.729
O: 0.565 0.887 0.271
O: 0.729 0.435 0.113
O: 0.887 0.271 0.565

---

Computed PXRD pattern
Compound: PuPa2O7
Radiation: CuKα
Structure: a cell relaxed with GGA-PBE
Lines closer than 0.1° are merged.

Principal peaks in the range 5 to 70 degrees two-theta, low angle first:
d = 3.509 Å, 25.38°, I = 51.1; d = 3.269 Å, 27.28°, I = 100.0; d = 2.953 Å, 30.26°, I = 55.5; d = 2.685 Å, 33.37°, I = 65.1; d = 1.929 Å, 47.11°, I = 51.1; d = 1.870 Å, 48.70°, I = 41.1; d = 1.700 Å, 53.95°, I = 23.0; d = 1.690 Å, 54.26°, I = 39.9; d = 1.661 Å, 55.30°, I = 14.8; d = 1.567 Å, 58.96°, I = 14.6

Crystal structure
a b c (Å): 10.761 10.761 10.761
angles (deg): 20.65 20.65 20.65
Sites, in units of the cell vectors:
Pu: 0.000 0.000 0.000
Pa: 0.433 0.433 0.433
Pa: 0.567 0.567 0.567
O: 0.073 0.073 0.073
O: 0.221 0.221 0.221
O: 0.358 0.358 0.358
O: 0.500 0.500 0.500
O: 0.642 0.642 0.642
O: 0.779 0.779 0.779
O: 0.927 0.927 0.927

---

Computed PXRD pattern
Compound: PuPa4O10
Radiation: CuKα
Structure: a cell relaxed with GGA-PBE
Lines closer than 0.1° are merged.

Principal peaks in the range 5 to 70 degrees two-theta, low angle first:
d = 3.165 Å, 28.20°, I = 100.0; d = 3.142 Å, 28.40°, I = 32.6; d = 2.736 Å, 32.73°, I = 49.4; d = 1.940 Å, 46.84°, I = 33.1; d = 1.929 Å, 47.10°, I = 32.3; d = 1.654 Å, 55.57°, I = 15.8; d = 1.651 Å, 55.69°, I = 31.3; d = 1.644 Å, 55.92°, I = 15.4; d = 1.582 Å, 58.31°, I = 10.7; d = 1.368 Å, 68.61°, I = 10.3

Crystal structure
a b c (Å): 15.870 15.870 15.870
angles (deg): 14.04 14.04 14.04
Sites, in units of the cell vectors:
Pu: 0.000 0.000 0.000
Pa: 0.200 0.200 0.200
Pa: 0.399 0.399 0.399
Pa: 0.601 0.601 0.601
Pa: 0.800 0.800 0.800
O: 0.053 0.053 0.053
O: 0.150 0.150 0.150
O: 0.250 0.250 0.250
O: 0.353 0.353 0.353
O: 0.450 0.450 0.450
O: 0.550 0.550 0.550
O: 0.647 0.647 0.647
O: 0.750 0.750 0.750
O: 0.850 0.850 0.850
O: 0.947 0.947 0.947

---

Computed PXRD pattern
Compound: RbPa2O6
Radiation: CuKα
Structure: a cell relaxed with GGA-PBE
Lines closer than 0.1° are merged.

Principal peaks in the range 5 to 70 degrees two-theta, low angle first:
d = 6.605 Å, 13.40°, I = 63.9; d = 3.450 Å, 25.83°, I = 100.0; d = 3.303 Å, 27.00°, I = 71.1; d = 2.860 Å, 31.27°, I = 15.3; d = 2.202 Å, 40.99°, I = 35.9; d = 2.022 Å, 44.81°, I = 45.4; d = 1.934 Å, 46.99°, I = 14.8; d = 1.745 Å, 52.45°, I = 15.9; d = 1.725 Å, 53.10°, I = 34.6; d = 1.489 Å, 62.34°, I = 27.1

Crystal structure
a b c (Å): 8.090 8.090 8.090
angles (deg): 60.00 60.00 60.00
Sites, in units of the cell vectors:
Rb: 0.125 0.125 0.125
Rb: 0.875 0.875 0.875
Pa: 0.000 0.500 0.500
Pa: 0.500 0.000 0.500
Pa: 0.500 0.500 0.000
Pa: 0.500 0.500 0.500
O: 0.183 0.183 0.567
O: 0.183 0.567 0.183
O: 0.183 0.567 0.567
O: 0.433 0.433 0.817
O: 0.433 0.817 0.433
O: 0.433 0.817 0.817
O: 0.567 0.183 0.183
O: 0.567 0.183 0.567
O: 0.567 0.567 0.183
O: 0.817 0.433 0.433
O: 0.817 0.433 0.817
O: 0.817 0.817 0.433

---

Computed PXRD pattern
Compound: Rb2Pa2O7
Radiation: CuKα
Structure: a cell relaxed with GGA-PBE
Lines closer than 0.1° are merged.

Principal peaks in the range 5 to 70 degrees two-theta, low angle first:
d = 6.712 Å, 13.19°, I = 68.1; d = 3.491 Å, 25.51°, I = 100.0; d = 3.356 Å, 26.56°, I = 39.6; d = 3.185 Å, 28.01°, I = 87.5; d = 2.710 Å, 33.06°, I = 34.0; d = 2.108 Å, 42.90°, I = 61.6; d = 1.963 Å, 46.26°, I = 18.3; d = 1.903 Å, 47.79°, I = 23.0; d = 1.720 Å, 53.25°, I = 23.6; d = 1.606 Å, 57.36°, I = 21.7

Crystal structure
a b c (Å): 5.460 5.460 6.712
angles (deg): 90.00 90.00 96.97
Sites, in units of the cell vectors:
Rb: 0.242 0.242 0.000
Rb: 0.758 0.758 0.000
Pa: 0.272 0.728 0.500
Pa: 0.728 0.272 0.500
O: 0.000 0.000 0.500
O: 0.000 0.500 0.305
O: 0.000 0.500 0.695
O: 0.500 0.000 0.305
O: 0.500 0.000 0.695
O: 0.500 0.500 0.310
O: 0.500 0.500 0.690